# 1
For Pr2Dy3Tl2, the PBE geometry in Alexandria gives the calculated X-ray diffraction stick pattern in this record (Cu Ka).
Lines closer than 0.1° are merged.

Cell and atoms:
a b c (Å): 9.5227 5.5068 8.8032
angles (deg): 90.00 111.21 90.00
Space group C2/m (No. 12)
Asymmetric unit:
Pr (0.0768, 0.0000, 0.2303)
Dy (0.0000, 0.5000, 0.5000)
Dy (0.1534, 0.5000, 0.9598)
Tl (0.2174, 0.0000, 0.6522)

The 12 most intense peaks (15 to 90 degrees two-theta), by intensity:
- 32.55°, rel. 100, hkl 0 2 0
- 31.62°, rel. 100, hkl 1 1 2
- 57.49°, rel. 37, hkl 1 3 2
- 46.01°, rel. 36, hkl 4 0 1
- 58.07°, rel. 19, hkl 6 0 -2
- 55.71°, rel. 16, hkl 2 0 4
- 68.17°, rel. 12, hkl 0 4 0
- 77.04°, rel. 11, hkl 5 3 -4
- 66.03°, rel. 10, hkl 4 0 -6
- 75.53°, rel. 9, hkl 4 2 -6
- 46.83°, rel. 7, hkl 3 1 2
- 19.98°, rel. 6, hkl 2 0 0

# 2
For SmReTe, the PBE geometry in Alexandria gives the calculated X-ray diffraction stick pattern in this record (Cu Ka).
Lines closer than 0.1° are merged.

Cell and atoms:
a b c (Å): 3.6872 3.6872 11.9357
angles (deg): 90.00 90.00 90.00
Space group P4/nmm (No. 129, origin choice 2)
Asymmetric unit:
Sm (0.2500, 0.2500, 0.2205)
Re (0.2500, 0.7500, 0.0000)
Te (0.2500, 0.2500, 0.6343)

The 12 most intense peaks (15 to 90 degrees two-theta), by intensity:
- 37.66°, rel. 100, hkl 0 0 5
- 35.23°, rel. 46, hkl 1 1 1
- 28.45°, rel. 45, hkl 1 0 2
- 33.13°, rel. 38, hkl 1 0 3
- 49.44°, rel. 33, hkl 2 0 0
- 22.35°, rel. 28, hkl 0 0 3
- 65.40°, rel. 27, hkl 1 1 7
- 84.71°, rel. 24, hkl 2 2 5
- 63.79°, rel. 19, hkl 2 0 5
- 45.25°, rel. 16, hkl 1 0 5
- 83.29°, rel. 15, hkl 2 0 8
- 46.24°, rel. 14, hkl 1 1 4

# 3
For Tb2Pr2Y6Th, the PBE geometry in Alexandria gives the calculated X-ray diffraction stick pattern in this record (Cu Ka).
Lines closer than 0.1° are merged.

Cell and atoms:
a b c (Å): 5.7216 12.0908 10.7138
angles (deg): 90.00 90.05 90.00
Space group C2/m (No. 12)
Asymmetric unit:
Tb (0.0000, 0.2021, 0.0000)
Pr (0.0000, 0.1353, 0.5000)
Y (0.0006, 0.0000, 0.7922)
Y (0.0006, 0.3487, 0.7141)
Th (0.0000, 0.5000, 0.0000)

The 12 most intense peaks (15 to 90 degrees two-theta), by intensity:
- 31.89°, rel. 100, hkl 1 3 2
- 31.27°, rel. 36, hkl 2 0 0
- 30.42°, rel. 27, hkl 1 1 3
- 30.73°, rel. 21, hkl 0 4 1
- 33.46°, rel. 20, hkl 0 0 4
- 56.04°, rel. 20, hkl 3 3 2
- 46.44°, rel. 16, hkl 2 0 4
- 44.41°, rel. 15, hkl 2 4 -1
- 61.83°, rel. 13, hkl 1 7 3
- 19.06°, rel. 12, hkl 1 1 1
- 62.24°, rel. 11, hkl 2 4 5
- 52.34°, rel. 10, hkl 0 4 5

# 4
For Pm6Sm3Th2, the PBE geometry in Alexandria gives the calculated X-ray diffraction stick pattern in this record (Cu Ka).
Lines closer than 0.1° are merged.

Cell and atoms:
a b c (Å): 3.6295 3.6295 97.9437
angles (deg): 90.00 90.00 120.00
Space group R-3m (No. 166, hexagonal axes)
Asymmetric unit:
Pm (0.0000, 0.0000, 0.0919)
Pm (0.0000, 0.0000, 0.1828)
Pm (0.0000, 0.0000, 0.3638)
Sm (0.0000, 0.0000, 0.0000)
Sm (0.0000, 0.0000, 0.2727)
Th (0.0000, 0.0000, 0.4547)

The 12 most intense peaks (15 to 90 degrees two-theta), by intensity:
- 30.14°, rel. 100, hkl 0 1 11
- 34.94°, rel. 51, hkl 1 0 22
- 50.25°, rel. 36, hkl 1 1 0
- 59.73°, rel. 33, hkl 2 0 11
- 84.34°, rel. 16, hkl 2 1 22
- 62.67°, rel. 12, hkl 0 2 22
- 59.68°, rel. 11, hkl 1 0 55
- 81.79°, rel. 9, hkl 1 2 11
- 81.69°, rel. 9, hkl 0 2 55
- 73.81°, rel. 6, hkl 2 0 44
- 28.43°, rel. 1, hkl 1 0 1
- 35.50°, rel. 1, hkl 0 1 23

# 5
For La2In2Te, the PBE geometry in Alexandria gives the calculated X-ray diffraction stick pattern in this record (Cu Ka).
Lines closer than 0.1° are merged.

Cell and atoms:
a b c (Å): 8.3868 8.3868 4.8922
angles (deg): 90.00 90.00 90.00
Space group P4/mbm (No. 127)
Asymmetric unit:
La (0.1661, 0.3339, 0.0000)
In (0.1323, 0.6323, 0.5000)
Te (0.0000, 0.0000, 0.0000)

The 12 most intense peaks (15 to 90 degrees two-theta), by intensity:
- 30.02°, rel. 100, hkl 2 1 1
- 33.80°, rel. 38, hkl 3 1 0
- 50.78°, rel. 24, hkl 3 1 2
- 36.74°, rel. 20, hkl 0 0 2
- 62.61°, rel. 17, hkl 4 4 0
- 23.57°, rel. 17, hkl 1 1 1
- 48.49°, rel. 14, hkl 4 1 1
- 62.06°, rel. 12, hkl 2 1 3
- 38.65°, rel. 10, hkl 3 2 0
- 43.10°, rel. 9, hkl 4 0 0
- 67.93°, rel. 9, hkl 5 3 1
- 18.13°, rel. 8, hkl 0 0 1

# 6
For Li4Sm3Ga4, the PBE geometry in Alexandria gives the calculated X-ray diffraction stick pattern in this record (Cu Ka).
Lines closer than 0.1° are merged.

Cell and atoms:
a b c (Å): 4.5989 6.8410 14.6501
angles (deg): 90.00 90.00 90.00
Space group Immm (No. 71)
Asymmetric unit:
Li (0.0000, 0.1912, 0.1707)
Sm (0.0000, 0.0000, 0.3726)
Sm (0.0000, 0.5000, 0.5000)
Ga (0.0000, 0.3121, 0.0000)
Ga (0.0000, 0.5000, 0.2874)

The 12 most intense peaks (15 to 90 degrees two-theta), by intensity:
- 33.22°, rel. 100, hkl 1 2 1
- 33.92°, rel. 96, hkl 1 1 4
- 26.05°, rel. 31, hkl 0 2 0
- 20.24°, rel. 27, hkl 1 0 1
- 39.18°, rel. 27, hkl 2 0 0
- 26.63°, rel. 22, hkl 1 0 3
- 22.37°, rel. 18, hkl 0 1 3
- 50.73°, rel. 16, hkl 0 3 5
- 52.31°, rel. 15, hkl 2 1 5
- 65.91°, rel. 14, hkl 2 3 5
- 51.20°, rel. 13, hkl 1 3 4
- 67.66°, rel. 13, hkl 3 1 4

# 7
For TbSc5As6, the PBE geometry in Alexandria gives the calculated X-ray diffraction stick pattern in this record (Cu Ka).
Lines closer than 0.1° are merged.

Cell and atoms:
a b c (Å): 6.8028 11.7815 6.8013
angles (deg): 90.00 109.52 90.00
Space group C2/m (No. 12)
Asymmetric unit:
Tb (0.0000, 0.0000, 0.0000)
Sc (0.0000, 0.1639, 0.5000)
Sc (0.0000, 0.3325, 0.0000)
Sc (0.0000, 0.5000, 0.5000)
As (0.2420, 0.5000, 0.2542)
As (0.2432, 0.3288, 0.7437)

The 12 most intense peaks (15 to 90 degrees two-theta), by intensity:
- 32.24°, rel. 100, hkl 1 3 1
- 46.24°, rel. 71, hkl 1 3 -3
- 76.75°, rel. 30, hkl 3 3 -5
- 57.49°, rel. 24, hkl 0 0 4
- 85.70°, rel. 22, hkl 2 0 -6
- 67.46°, rel. 11, hkl 4 0 -4
- 15.74°, rel. 5, hkl 1 1 0
- 17.65°, rel. 4, hkl 1 1 -1
- 20.48°, rel. 3, hkl 0 2 1
- 31.78°, rel. 3, hkl 2 2 0
- 26.61°, rel. 3, hkl 1 3 0
- 23.90°, rel. 3, hkl 1 1 1

# 8
For Li2BiBO4, the PBE geometry in Alexandria gives the calculated X-ray diffraction stick pattern in this record (Cu Ka).
Lines closer than 0.1° are merged.

Cell and atoms:
a b c (Å): 10.3555 6.8130 4.8527
angles (deg): 90.00 90.00 90.00
Space group Pnma (No. 62)
Asymmetric unit:
Li (0.1618, 0.0027, 0.2239)
Bi (0.0984, 0.7500, 0.7381)
B (0.0983, 0.2500, 0.7328)
O (0.0475, 0.7500, 0.1922)
O (0.1017, 0.2500, 0.4126)
O (0.1625, 0.0733, 0.8366)

The 12 most intense peaks (15 to 90 degrees two-theta), by intensity:
- 25.15°, rel. 100, hkl 2 0 1
- 22.49°, rel. 96, hkl 0 1 1
- 21.56°, rel. 93, hkl 2 1 0
- 36.61°, rel. 60, hkl 2 2 1
- 26.16°, rel. 53, hkl 0 2 0
- 43.27°, rel. 45, hkl 2 1 2
- 43.99°, rel. 41, hkl 0 3 1
- 41.70°, rel. 35, hkl 4 1 1
- 37.05°, rel. 27, hkl 0 0 2
- 43.51°, rel. 26, hkl 2 3 0
- 34.65°, rel. 22, hkl 4 0 0
- 58.45°, rel. 22, hkl 2 3 2

# 9
For V6IrOs, the PBE geometry in Alexandria gives the calculated X-ray diffraction stick pattern in this record (Cu Ka).
Lines closer than 0.1° are merged.

Cell and atoms:
a b c (Å): 4.7853 4.7853 4.7853
angles (deg): 90.00 90.00 90.00
Space group Pm-3 (No. 200)
Asymmetric unit:
V (0.0000, 0.2490, 0.5000)
Ir (0.5000, 0.5000, 0.5000)
Os (0.0000, 0.0000, 0.0000)

The 11 most intense peaks (15 to 90 degrees two-theta), by intensity:
- 46.48°, rel. 100, hkl 2 1 1
- 26.34°, rel. 75, hkl 1 1 0
- 74.14°, rel. 49, hkl 3 1 2
- 37.59°, rel. 46, hkl 2 0 0
- 42.23°, rel. 23, hkl 2 0 1
- 61.25°, rel. 16, hkl 3 1 0
- 54.22°, rel. 11, hkl 2 2 0
- 86.24°, rel. 10, hkl 4 1 1
- 80.24°, rel. 9, hkl 4 0 0
- 71.02°, rel. 4, hkl 3 2 0
- 67.85°, rel. 1, hkl 2 2 2

# 10
For Pm5Al2Ge4, the PBE geometry in Alexandria gives the calculated X-ray diffraction stick pattern in this record (Cu Ka).
Lines closer than 0.1° are merged.

Cell and atoms:
a b c (Å): 19.3750 4.2622 7.3346
angles (deg): 90.00 105.54 90.00
Space group C2/m (No. 12)
Asymmetric unit:
Pm (0.0000, 0.0000, 0.0000)
Pm (0.1552, 0.5000, 0.4217)
Pm (0.1634, 0.5000, 0.9434)
Al (0.0748, 0.0000, 0.6321)
Ge (0.0105, 0.5000, 0.7019)
Ge (0.2108, 0.0000, 0.7105)

The 12 most intense peaks (15 to 90 degrees two-theta), by intensity:
- 33.11°, rel. 100, hkl 3 1 -2
- 25.33°, rel. 76, hkl 3 1 0
- 28.69°, rel. 71, hkl 6 0 0
- 38.77°, rel. 50, hkl 3 1 2
- 42.42°, rel. 48, hkl 0 2 0
- 32.26°, rel. 40, hkl 1 1 -2
- 39.88°, rel. 38, hkl 7 1 0
- 32.87°, rel. 37, hkl 6 0 -2
- 25.51°, rel. 36, hkl 1 1 1
- 52.01°, rel. 27, hkl 6 2 0
- 34.28°, rel. 27, hkl 1 1 2
- 21.38°, rel. 27, hkl 1 1 0

# 11
For Pr5Nd3Er2, the PBE geometry in Alexandria gives the calculated X-ray diffraction stick pattern in this record (Cu Ka).
Lines closer than 0.1° are merged.

Cell and atoms:
a b c (Å): 11.7628 5.5824 10.9586
angles (deg): 90.00 98.29 90.00
Space group C2/m (No. 12)
Asymmetric unit:
Pr (0.0000, 0.0000, 0.0000)
Pr (0.1402, 0.0000, 0.2617)
Pr (0.1774, 0.5000, 0.4477)
Nd (0.0000, 0.0000, 0.5000)
Nd (0.2352, 0.5000, 0.1071)
Er (0.0639, 0.5000, 0.7744)

The 12 most intense peaks (15 to 90 degrees two-theta), by intensity:
- 30.82°, rel. 100, hkl 3 1 -2
- 31.35°, rel. 75, hkl 1 1 3
- 32.07°, rel. 69, hkl 0 2 0
- 30.16°, rel. 52, hkl 3 1 1
- 33.01°, rel. 35, hkl 4 0 1
- 46.68°, rel. 29, hkl 4 2 1
- 29.51°, rel. 24, hkl 1 1 -3
- 24.88°, rel. 20, hkl 1 1 2
- 56.39°, rel. 19, hkl 3 3 -2
- 34.29°, rel. 17, hkl 3 1 2
- 28.24°, rel. 16, hkl 3 1 -1
- 56.71°, rel. 14, hkl 1 3 3

# 12
For Li3Bi5P6O24, the PBE geometry in Alexandria gives the calculated X-ray diffraction stick pattern in this record (Cu Ka).
Lines closer than 0.1° are merged.

Cell and atoms:
a b c (Å): 8.7102 8.8349 8.8514
angles (deg): 108.43 110.01 109.08
Space group P1 (No. 1)
Asymmetric unit:
Li (0.0000, 0.0000, 0.0000)
Li (0.1791, 0.7681, 0.9338)
Li (0.4812, 0.3108, 0.7055)
Bi (0.0007, 0.0481, 0.5740)
Bi (0.3209, 0.5251, 0.2076)
Bi (0.4916, 0.8756, 0.7340)
Bi (0.6311, 0.1951, 0.3816)
Bi (0.8323, 0.5365, 0.2080)
P (0.1149, 0.4142, 0.4742)
P (0.2327, 0.9100, 0.3382)
P (0.3632, 0.1642, 0.9666)
P (0.6063, 0.7884, 0.1029)
P (0.7422, 0.6549, 0.5944)
P (0.8546, 0.2763, 0.8455)
O (0.0567, 0.4403, 0.9760)
O (0.0738, 0.8836, 0.3921)
O (0.1461, 0.2761, 0.5368)
O (0.1458, 0.3875, 0.3079)
O (0.1597, 0.8892, 0.1474)
O (0.2280, 0.1926, 0.0337)
O (0.2457, 0.6092, 0.6389)
O (0.2786, 0.7565, 0.3576)
O (0.3293, 0.1968, 0.7989)
O (0.3457, 0.9731, 0.9172)
O (0.4053, 0.7266, 0.0688)
O (0.4118, 0.0963, 0.4843)
O (0.5673, 0.3068, 0.1354)
O (0.5808, 0.7061, 0.5659)
O (0.6438, 0.6244, 0.0759)
O (0.6463, 0.4496, 0.5459)
O (0.6475, 0.8574, 0.9724)
O (0.7197, 0.3431, 0.8772)
O (0.7429, 0.9544, 0.3033)
O (0.7964, 0.6805, 0.4483)
O (0.8250, 0.2230, 0.6449)
O (0.8266, 0.1057, 0.8694)
O (0.9081, 0.3780, 0.4051)
O (0.9129, 0.7748, 0.7838)

The 12 most intense peaks (15 to 90 degrees two-theta), by intensity:
- 27.51°, rel. 100, hkl -2 2 1
- 32.96°, rel. 72, hkl 0 2 -3
- 20.95°, rel. 56, hkl 0 1 1
- 27.77°, rel. 53, hkl 1 -1 2
- 21.34°, rel. 53, hkl 0 2 -1
- 21.72°, rel. 52, hkl 2 -1 0
- 27.99°, rel. 40, hkl 1 -2 2
- 17.43°, rel. 39, hkl 1 1 -1
- 32.50°, rel. 32, hkl 1 -3 0
- 33.17°, rel. 26, hkl 2 -3 1
- 45.45°, rel. 24, hkl 0 4 -3
- 43.15°, rel. 24, hkl 2 -4 0